Record 1
Theoretical powder diffraction line list of RbHgPbSe2 for CuKα, from DFT lattice parameters and positions (PBE).
Neutral-atom scattering factors, no anomalous dispersion.

Structural model:
abc: 8.022 6.514 6.685
angles: 90.00 113.99 90.00
Space group P2/c (No. 13)
Unique sites:
Rb 0.000 0.221 0.250 [2 per cell]
Hg 0.500 0.000 0.000 [2 per cell]
Pb 0.500 0.497 0.250 [2 per cell]
Se 0.184 0.281 0.842 [4 per cell]

Largest 12 diffraction maxima, sorted by position, 10 to 90 degrees two-theta:
- 12.08°, intensity 54, hkl 1 0 0
- 24.29°, intensity 27, hkl 2 0 0
- 30.03°, intensity 100, hkl 1 2 0
- 32.38°, intensity 30, hkl 0 1 2
- 32.61°, intensity 29, hkl 2 1 -2
- 36.79°, intensity 14, hkl 3 0 0
- 36.92°, intensity 23, hkl 2 2 0
- 38.81°, intensity 22, hkl 1 1 2
- 39.20°, intensity 21, hkl 3 1 -2
- 50.10°, intensity 11, hkl 1 3 -2
- 56.54°, intensity 10, hkl 0 4 0
- 63.99°, intensity 15, hkl 3 2 -4



Record 2
Theoretical powder diffraction line list of GaTe4Mo4Se4 for CuKα, from DFT lattice parameters and positions (PBE).
Neutral-atom scattering factors, no anomalous dispersion.

Structural model:
abc: 10.773 10.773 10.773
angles: 90.00 90.00 90.00
Space group F-43m (No. 216)
Unique sites:
Ga 0.000 0.000 0.000 [4 per cell]
Te 0.138 0.138 0.862 [16 per cell]
Mo 0.096 0.096 0.596 [16 per cell]
Se 0.131 0.131 0.369 [16 per cell]

Largest 12 diffraction maxima, sorted by position, 10 to 90 degrees two-theta:
- 14.24°, intensity 43, hkl 1 1 1
- 27.46°, intensity 21, hkl 3 1 1
- 28.70°, intensity 45, hkl 2 2 2
- 33.27°, intensity 100, hkl 4 0 0
- 36.35°, intensity 23, hkl 3 3 1
- 41.04°, intensity 42, hkl 4 2 2
- 43.66°, intensity 32, hkl 5 1 1
- 47.76°, intensity 77, hkl 4 4 0
- 56.67°, intensity 29, hkl 6 2 2
- 59.44°, intensity 17, hkl 4 4 4
- 64.75°, intensity 15, hkl 6 4 2
- 74.77°, intensity 25, hkl 8 2 2



Record 3
Theoretical powder diffraction line list of Nd4MgAl2Ag for CuKα, from DFT lattice parameters and positions (PBE).
Neutral-atom scattering factors, no anomalous dispersion.

Structural model:
abc: 5.3346 5.3346 26.2859
angles: 90.00 90.00 120.00
Space group R-3m (No. 166, hexagonal axes)
Unique sites:
Nd 0.0000 0.0000 0.1218 [6 per cell]
Nd 0.0000 0.0000 0.3720 [6 per cell]
Mg 0.0000 0.0000 0.5000 [3 per cell]
Al 0.0000 0.0000 0.2454 [6 per cell]
Ag 0.0000 0.0000 0.0000 [3 per cell]

Largest 12 diffraction maxima, sorted by position, 10 to 90 degrees two-theta:
- 23.54°, intensity 61, hkl 1 0 4
- 33.47°, intensity 99, hkl 0 1 8
- 33.60°, intensity 100, hkl 1 1 0
- 41.43°, intensity 14, hkl 0 2 4
- 48.15°, intensity 35, hkl 2 0 8
- 54.18°, intensity 12, hkl 1 1 12
- 54.36°, intensity 13, hkl 2 1 4
- 59.74°, intensity 17, hkl 1 0 16
- 60.02°, intensity 55, hkl 3 0 0
- 70.63°, intensity 11, hkl 2 2 0
- 80.23°, intensity 15, hkl 2 1 16
- 80.45°, intensity 15, hkl 3 1 8



Record 4
Theoretical powder diffraction line list of AcPd8Au3 for CuKα, from DFT lattice parameters and positions (PBE).
Neutral-atom scattering factors, no anomalous dispersion.

Structural model:
abc: 5.3479 5.3479 8.8687
angles: 90.00 90.00 120.00
Space group P3m1 (No. 156)
Unique sites:
Ac 0.0000 0.0000 0.0000 [1 per cell]
Pd 0.1648 0.3296 0.6812 [3 per cell]
Pd 0.3333 0.6667 0.4358 [1 per cell]
Pd 0.3333 0.6667 0.9357 [1 per cell]
Pd 0.5025 0.0050 0.1947 [3 per cell]
Au 0.0000 0.0000 0.3968 [1 per cell]
Au 0.6667 0.3333 0.4844 [1 per cell]
Au 0.6667 0.3333 0.8211 [1 per cell]

Largest 12 diffraction maxima, sorted by position, 10 to 90 degrees two-theta:
- 27.85°, intensity 15, hkl 0 1 2
- 33.51°, intensity 57, hkl 1 1 0
- 36.04°, intensity 89, hkl 1 0 3
- 38.89°, intensity 15, hkl 2 0 0
- 39.35°, intensity 100, hkl 1 1 2
- 40.25°, intensity 74, hkl 0 2 1
- 61.57°, intensity 37, hkl 2 1 3
- 63.84°, intensity 24, hkl 0 3 2
- 66.39°, intensity 29, hkl 0 2 5
- 70.43°, intensity 28, hkl 2 2 0
- 76.45°, intensity 15, hkl 2 0 6
- 81.74°, intensity 17, hkl 1 3 3



Record 5
Theoretical powder diffraction line list of PuSb3Au8 for CuKα, from DFT lattice parameters and positions (PBE).
Neutral-atom scattering factors, no anomalous dispersion.

Structural model:
abc: 5.6139 5.6139 9.4834
angles: 90.00 90.00 120.00
Space group P3m1 (No. 156)
Unique sites:
Pu 0.0000 0.0000 0.0000 [1 per cell]
Sb 0.0000 0.0000 0.3835 [1 per cell]
Sb 0.6667 0.3333 0.4860 [1 per cell]
Sb 0.6667 0.3333 0.9174 [1 per cell]
Au 0.1643 0.3286 0.7009 [3 per cell]
Au 0.3333 0.6667 0.4523 [1 per cell]
Au 0.3333 0.6667 0.9511 [1 per cell]
Au 0.5015 0.0030 0.1999 [3 per cell]

Largest 12 diffraction maxima, sorted by position, 10 to 90 degrees two-theta:
- 18.25°, intensity 15, hkl 1 0 0
- 31.88°, intensity 16, hkl 1 1 0
- 33.82°, intensity 45, hkl 0 1 3
- 37.22°, intensity 100, hkl 1 1 2
- 37.95°, intensity 31, hkl 0 0 4
- 38.22°, intensity 79, hkl 2 0 1
- 41.76°, intensity 25, hkl 0 2 2
- 58.06°, intensity 18, hkl 1 2 3
- 60.36°, intensity 25, hkl 3 0 2
- 62.07°, intensity 32, hkl 2 0 5
- 66.64°, intensity 27, hkl 2 2 0
- 79.33°, intensity 23, hkl 2 2 4



Record 6
Theoretical powder diffraction line list of Ac9Tc2I14 for CuKα, from DFT lattice parameters and positions (PBE).
Neutral-atom scattering factors, no anomalous dispersion.

Structural model:
abc: 9.6722 9.6722 13.4582
angles: 90.00 90.00 120.00
Space group P-3 (No. 147)
Unique sites:
Ac 0.0000 0.0000 0.0000 [1 per cell]
Ac 0.0963 0.3882 0.3333 [6 per cell]
Ac 0.3333 0.6667 0.0682 [2 per cell]
Tc 0.3333 0.6667 0.2758 [2 per cell]
I 0.0000 0.0000 0.2536 [2 per cell]
I 0.0510 0.6890 0.9091 [6 per cell]
I 0.0905 0.3961 0.5939 [6 per cell]

Largest 12 diffraction maxima, sorted by position, 10 to 90 degrees two-theta:
- 12.45°, intensity 57, hkl 0 1 1
- 19.50°, intensity 100, hkl 2 -1 1
- 19.79°, intensity 45, hkl 0 0 3
- 25.04°, intensity 22, hkl 0 2 2
- 28.19°, intensity 48, hkl 1 2 0
- 28.59°, intensity 36, hkl 0 1 4
- 28.97°, intensity 74, hkl 3 -1 1
- 32.06°, intensity 73, hkl 3 0 0
- 32.42°, intensity 96, hkl 2 -1 4
- 34.68°, intensity 50, hkl 1 2 3
- 47.56°, intensity 25, hkl 3 1 4
- 49.87°, intensity 23, hkl 4 1 0